The following is a theoretical powder diffractogram of CeMgAgF6. It was derived from a structure optimized by DFT (PBE), using Cu Kα (weighted mean of Kα1 and Kα2).
Intensities are scaled so that the largest is 100.

Peak list (10 most intense, 15° ≤ 2θ ≤ 90°, in order of rising 2θ)
- 2θ 19.67, rel. 35, hkl 1 0 1
- 2θ 25.59, rel. 100, hkl 1 0 2
- 2θ 30.16, rel. 41, hkl 1 1 0
- 2θ 33.31, rel. 15, hkl 1 0 3
- 2θ 36.27, rel. 13, hkl 2 0 1
- 2θ 39.96, rel. 28, hkl 2 0 2
- 2θ 49.24, rel. 44, hkl 1 1 4
- 2θ 50.87, rel. 29, hkl 2 1 2
- 2θ 53.57, rel. 21, hkl 3 0 0
- 2θ 68.88, rel. 12, hkl 4 -1 2

Atomic structure:
```
CeMgAgF6
1.0
5.9256 0.0000 0.0000
-2.9628 5.1317 0.0000
0.0000 0.0000 9.4767
Ce Mg Ag F
2 2 2 12
direct
0.3333 0.6667 0.2500 Ce
0.6667 0.3333 0.7500 Ce
0.3333 0.6667 0.7500 Mg
0.6667 0.3333 0.2500 Mg
0.0000 0.0000 0.0000 Ag
0.0000 0.0000 0.5000 Ag
0.0371 0.3850 0.6366 F
0.0371 0.6522 0.8634 F
0.3478 0.3850 0.8634 F
0.3478 0.9629 0.6366 F
0.3850 0.0371 0.1366 F
0.3850 0.3478 0.3634 F
0.6150 0.6522 0.6366 F
0.6150 0.9629 0.8634 F
0.6522 0.0371 0.3634 F
0.6522 0.6150 0.1366 F
0.9629 0.3478 0.1366 F
0.9629 0.6150 0.3634 F
```